La2Ti2O5: simulated X-ray powder pattern (a wavelength of 1.5418 Å), based on a GGA-PBE-relaxed structure.

Top 8 peaks for 5° ≤ 2θ ≤ 70°, in order of rising 2θ:
- hkl 1 0 1, 22.61 deg, I 17
- hkl 0 0 2, 32.05 deg, I 100
- hkl 2 0 0, 32.40 deg, I 21
- hkl 2 4 0, 39.77 deg, I 13
- hkl 2 0 2, 46.17 deg, I 24
- hkl 0 8 2, 57.03 deg, I 24
- hkl 3 4 1, 57.59 deg, I 15
- hkl 2 8 2, 67.08 deg, I 14

Atomic structure:
```
data_La2Ti2O5
_space_group_name_H-M_alt 'I m m a'
_space_group_IT_number 74
_space_group_name_Hall '-I 2b 2'
_cell_length_a 5.527
_cell_length_b 15.844
_cell_length_c 5.596
_cell_angle_alpha 90.00
_cell_angle_beta 90.00
_cell_angle_gamma 90.00
loop_
_atom_site_label
_atom_site_fract_x
_atom_site_fract_y
_atom_site_fract_z
La1 0.000 0.126 0.005
Ti1 0.000 0.000 0.500
Ti2 0.000 0.250 0.517
O1 0.000 0.127 0.552
O2 0.250 0.014 0.250
O3 0.250 0.250 0.250
```

LaSnPd: simulated X-ray powder pattern (a wavelength of 1.5418 Å), based on a GGA-PBE-relaxed structure.

Top 8 peaks for 5° ≤ 2θ ≤ 70°, in order of rising 2θ:
- hkl 1 1 1, 31.34 deg, I 94
- hkl 2 0 1, 34.14 deg, I 100
- hkl 2 1 0, 35.45 deg, I 54
- hkl 3 0 0, 40.39 deg, I 29
- hkl 2 1 1, 41.57 deg, I 29
- hkl 0 0 2, 42.76 deg, I 30
- hkl 2 1 2, 56.71 deg, I 28
- hkl 3 2 1, 64.51 deg, I 31

Atomic structure:
```
data_LaSnPd
_space_group_name_H-M_alt 'P -6 2 m'
_space_group_IT_number 189
_space_group_name_Hall 'P -6 -2'
_cell_length_a 7.7364
_cell_length_b 7.7364
_cell_length_c 4.2291
_cell_angle_alpha 90.00
_cell_angle_beta 90.00
_cell_angle_gamma 120.00
loop_
_atom_site_label
_atom_site_fract_x
_atom_site_fract_y
_atom_site_fract_z
La1 0.0000 0.5856 0.0000
Sn1 0.0000 0.2479 0.5000
Pd1 0.0000 0.0000 0.0000
Pd2 0.3333 0.6667 0.5000
```

KTiCu3Se4: simulated X-ray powder pattern (a wavelength of 1.5418 Å), based on a GGA-PBE-relaxed structure.

Top 8 peaks for 5° ≤ 2θ ≤ 70°, in order of rising 2θ:
- hkl 1 0 0, 14.57 deg, I 33
- hkl 1 1 1, 25.37 deg, I 100
- hkl 2 1 1, 36.19 deg, I 8
- hkl 2 2 0, 42.03 deg, I 96
- hkl 3 1 1, 49.74 deg, I 40
- hkl 3 2 0, 54.41 deg, I 12
- hkl 4 0 0, 60.95 deg, I 13
- hkl 3 3 1, 67.10 deg, I 13

Atomic structure:
```
data_KTiCu3Se4
_space_group_name_H-M_alt 'P -4 3 m'
_space_group_IT_number 215
_space_group_name_Hall 'P -4 2 3'
_cell_length_a 6.080
_cell_length_b 6.080
_cell_length_c 6.080
_cell_angle_alpha 90.00
_cell_angle_beta 90.00
_cell_angle_gamma 90.00
loop_
_atom_site_label
_atom_site_fract_x
_atom_site_fract_y
_atom_site_fract_z
K1 0.000 0.000 0.000
Ti1 0.500 0.500 0.500
Cu1 0.000 0.500 0.500
Se1 0.275 0.275 0.725
```